For CoHCO4, a DFT-relaxed cell (PBE+U, Alexandria) gives the calculated X-ray diffraction stick pattern in this record (Cu Ka).
Kinematic intensities with the Lorentz-polarization factor, no thermal factor.

Main lines, low angle first (2θ from 15° to 90°):
2θ 17.41, intensity 36.6, (1 1 0)
2θ 20.11, intensity 100.0, (2 0 0)
2θ 30.37, intensity 13.3, (3 0 0)
2θ 35.21, intensity 11.8, (2 2 0)
2θ 35.37, intensity 34.6, (2 0 2)
2θ 39.68, intensity 17.1, (1 2 2)
2θ 46.10, intensity 21.9, (2 2 2)
2θ 50.77, intensity 17.5, (4 0 2)
2θ 55.03, intensity 15.7, (4 2 0)
2θ 63.29, intensity 19.6, (4 2 2)

Crystal structure
a = 10.1957 Å, b = 10.1957 Å, c = 6.2021 Å
α = 90.00°, β = 90.00°, γ = 120.00°
Space group P6_3/m (No. 176)
One atom of each set of equivalent atoms:
Co (0.0000, 0.5000, 0.0000)
H (0.1904, 0.6425, 0.2500)
C (0.2007, 0.7645, 0.7500)
O (0.1061, 0.4298, 0.7500)
O (0.1233, 0.5312, 0.2500)
O (0.1429, 0.7045, 0.5650)